Calculated X-ray diffraction stick pattern of NaV10O15 for Cu Kα, 1.54184 Å, from a GGA+U-relaxed structure.
Peak positions follow from Bragg's law for the DFT cell and can differ from measured ones.

Main lines, sorted by position (2θ from 10° to 90°):
2θ 14.57, 6.078 Å, I = 100
2θ 29.90, 2.988 Å, I = 36
2θ 30.59, 2.922 Å, I = 59
2θ 32.58, 2.749 Å, I = 41
2θ 36.35, 2.472 Å, I = 37
2θ 39.86, 2.261 Å, I = 33
2θ 44.62, 2.031 Å, I = 30
2θ 45.21, 2.006 Å, I = 65
2θ 59.83, 1.546 Å, I = 33
2θ 62.05, 1.496 Å, I = 40

Structure:
Cell lengths 11.7275, 10.4354, 9.7051 Å; angles 90.00, 90.00, 90.00 degrees
Space group Cmce (No. 64)
Symmetry-distinct sites (fractional):
Na (0.0000, 0.0000, 0.0000)
V (0.0000, 0.1807, 0.3707)
V (0.1256, 0.0862, 0.6466)
V (0.2398, 0.1596, 0.1151)
O (0.0000, 0.0000, 0.5000)
O (0.0000, 0.1536, 0.7579)
O (0.1271, 0.0887, 0.2634)
O (0.1272, 0.2331, 0.5055)
O (0.2426, 0.0000, 0.5000)
O (0.2500, 0.1850, 0.7500)